(1)
OsBr5: calculated PXRD pattern (Cu Kα X-rays), based on the PBE geometry in OQMD.

Principal peaks in the range 2θ from 15° to 90°, by angle:
2θ = 15.31°, intensity 100
2θ = 16.66°, intensity 40
2θ = 16.77°, intensity 35
2θ = 20.03°, intensity 31
2θ = 30.77°, intensity 77
2θ = 30.90°, intensity 75
2θ = 31.30°, intensity 78
2θ = 39.92°, intensity 57
2θ = 40.11°, intensity 32
2θ = 40.68°, intensity 31

```
OsBr5
1.0
6.601 0.000 0.000
-3.293 6.485 0.000
-0.080 -3.582 8.866
Os Br
2 10
direct
0.100 0.207 0.211 Os
0.900 0.793 0.789 Os
0.071 0.814 0.570 Br
0.116 0.624 0.851 Br
0.241 0.179 0.955 Br
0.306 0.016 0.253 Br
0.440 0.566 0.330 Br
0.560 0.434 0.670 Br
0.694 0.984 0.747 Br
0.759 0.821 0.045 Br
0.884 0.376 0.149 Br
0.929 0.186 0.430 Br
```

---

(2)
Pr4OsBr5: calculated PXRD pattern (Cu Kα X-rays), based on the PBE geometry in OQMD.

Principal peaks in the range 2θ from 15° to 90°, by angle:
2θ = 23.43°, intensity 11
2θ = 29.05°, intensity 100
2θ = 29.33°, intensity 43
2θ = 40.10°, intensity 19
2θ = 41.54°, intensity 31
2θ = 41.96°, intensity 32
2θ = 42.95°, intensity 17
2θ = 50.82°, intensity 11
2θ = 52.84°, intensity 20
2θ = 60.19°, intensity 12

```
Pr4OsBr5
1.0
9.440 -2.106 0.000
9.440 2.106 0.000
-2.265 0.000 8.707
Pr Os Br
4 1 5
direct
0.001 0.001 0.224 Pr
0.353 0.353 0.919 Pr
0.647 0.647 0.081 Pr
0.999 0.999 0.776 Pr
0.500 0.500 0.000 Os
0.169 0.169 0.332 Br
0.171 0.171 0.846 Br
0.500 0.500 0.500 Br
0.829 0.829 0.154 Br
0.831 0.831 0.668 Br
```

---

(3)
Sb3Os3Br2: calculated PXRD pattern (Cu Kα X-rays), based on the PBE geometry in OQMD.

Principal peaks in the range 2θ from 15° to 90°, by angle:
2θ = 29.05°, intensity 66
2θ = 35.09°, intensity 44
2θ = 36.58°, intensity 95
2θ = 37.79°, intensity 96
2θ = 38.61°, intensity 91
2θ = 41.77°, intensity 100
2θ = 42.42°, intensity 56
2θ = 52.84°, intensity 50
2θ = 60.47°, intensity 43
2θ = 67.68°, intensity 46

```
Sb3Os3Br2
1.0
2.769 1.599 6.674
-2.769 1.599 6.674
0.000 -3.197 6.674
Sb Os Br
3 3 2
direct
0.000 0.000 0.000 Sb
0.429 0.429 0.429 Sb
0.571 0.571 0.571 Sb
0.000 0.000 0.500 Os
0.000 0.500 0.000 Os
0.500 0.000 0.000 Os
0.263 0.263 0.263 Br
0.737 0.737 0.737 Br
```

---

(4)
TbPPbBr2: calculated PXRD pattern (Cu Kα X-rays), based on the PBE geometry in OQMD.

Principal peaks in the range 2θ from 15° to 90°, by angle:
2θ = 16.28°, intensity 14
2θ = 24.66°, intensity 24
2θ = 26.00°, intensity 14
2θ = 29.69°, intensity 100
2θ = 35.06°, intensity 12
2θ = 41.55°, intensity 32
2θ = 43.41°, intensity 30
2θ = 53.47°, intensity 19
2θ = 61.64°, intensity 11
2θ = 71.23°, intensity 17

```
TbPPbBr2
1.0
4.169 0.000 0.000
-2.085 3.611 0.000
0.000 0.000 10.888
Tb P Pb Br
1 1 1 2
direct
0.000 0.000 0.000 Tb
0.667 0.333 0.871 P
0.333 0.667 0.697 Pb
0.000 0.000 0.523 Br
0.333 0.667 0.163 Br
```

---

(5)
PrSmPBr2: calculated PXRD pattern (Cu Kα X-rays), based on the PBE geometry in OQMD.

Principal peaks in the range 2θ from 15° to 90°, by angle:
2θ = 16.39°, intensity 12
2θ = 24.77°, intensity 23
2θ = 29.85°, intensity 100
2θ = 35.26°, intensity 11
2θ = 41.81°, intensity 30
2θ = 43.62°, intensity 30
2θ = 53.76°, intensity 19
2θ = 62.01°, intensity 10
2θ = 69.02°, intensity 10
2θ = 71.63°, intensity 16

```
PrSmPBr2
1.0
4.150 0.000 0.000
-2.075 3.594 0.000
0.000 0.000 10.815
Pr Sm P Br
1 1 1 2
direct
0.000 0.000 0.000 Pr
0.667 0.333 0.294 Sm
0.333 0.667 0.152 P
0.000 0.000 0.464 Br
0.667 0.333 0.824 Br
```

---

(6)
TmScPBr2: calculated PXRD pattern (Cu Kα X-rays), based on the PBE geometry in OQMD.

Principal peaks in the range 2θ from 15° to 90°, by angle:
2θ = 17.31°, intensity 21
2θ = 26.64°, intensity 30
2θ = 28.05°, intensity 11
2θ = 31.94°, intensity 100
2θ = 37.63°, intensity 21
2θ = 44.54°, intensity 29
2θ = 47.03°, intensity 29
2θ = 52.35°, intensity 9
2θ = 57.98°, intensity 18
2θ = 77.77°, intensity 15

```
TmScPBr2
1.0
3.864 0.000 0.000
-1.932 3.347 0.000
0.000 0.000 10.247
Tm Sc P Br
1 1 1 2
direct
0.000 0.000 0.000 Tm
0.333 0.667 0.716 Sc
0.667 0.333 0.851 P
0.000 0.000 0.549 Br
0.333 0.667 0.179 Br
```

---

(7)
TbUPBr2: calculated PXRD pattern (Cu Kα X-rays), based on the PBE geometry in OQMD.

Principal peaks in the range 2θ from 15° to 90°, by angle:
2θ = 16.38°, intensity 12
2θ = 26.13°, intensity 23
2θ = 27.42°, intensity 15
2θ = 30.99°, intensity 100
2θ = 36.25°, intensity 15
2θ = 42.66°, intensity 28
2θ = 46.10°, intensity 27
2θ = 56.59°, intensity 18
2θ = 57.89°, intensity 15
2θ = 75.87°, intensity 16

```
TbUPBr2
1.0
3.938 0.000 0.000
-1.969 3.411 0.000
0.000 0.000 10.821
Tb U P Br
1 1 1 2
direct
0.000 0.000 0.000 Tb
0.333 0.667 0.709 U
0.667 0.333 0.856 P
0.000 0.000 0.531 Br
0.333 0.667 0.173 Br
```

---

(8)
PaBr5: calculated PXRD pattern (Cu Kα X-rays), based on the PBE geometry in OQMD.

Principal peaks in the range 2θ from 15° to 90°, by angle:
2θ = 15.47°, intensity 85
2θ = 17.74°, intensity 88
2θ = 20.34°, intensity 42
2θ = 30.03°, intensity 98
2θ = 30.27°, intensity 100
2θ = 31.66°, intensity 89
2θ = 43.17°, intensity 68
2θ = 43.89°, intensity 39
2θ = 44.37°, intensity 65
2θ = 44.50°, intensity 35

```
PaBr5
1.0
8.950 0.000 0.000
0.000 11.809 0.000
-8.756 0.000 9.396
Pa Br
4 20
direct
0.208 0.135 0.159 Pa
0.208 0.365 0.659 Pa
0.792 0.635 0.341 Pa
0.792 0.865 0.841 Pa
0.006 0.628 0.267 Br
0.006 0.872 0.767 Br
0.173 0.610 0.635 Br
0.173 0.890 0.135 Br
0.182 0.141 0.637 Br
0.182 0.359 0.137 Br
0.401 0.123 0.068 Br
0.401 0.377 0.568 Br
0.439 0.626 0.072 Br
0.439 0.874 0.572 Br
0.561 0.126 0.428 Br
0.561 0.374 0.928 Br
0.599 0.623 0.432 Br
0.599 0.877 0.932 Br
0.818 0.641 0.863 Br
0.818 0.859 0.363 Br
0.827 0.110 0.865 Br
0.827 0.390 0.365 Br
0.994 0.128 0.233 Br
0.994 0.372 0.733 Br
```